Record 1
# Dy5Ho8Tm
Simulated PXRD pattern, copper Kα. Input: a structure optimized by DFT (GGA-PBE).
Kinematic intensities with the Lorentz-polarization factor, no thermal factor.

Largest 12 diffraction maxima, in order of rising 2θ, 15° ≤ 2θ ≤ 90°:
2θ/deg, Rel. int.
28.45, 640
29.63, 703
29.77, 806
32.16, 227
34.27, 1000
34.90, 509
35.27, 564
55.78, 175
57.00, 164
58.02, 166
60.02, 171
64.04, 219

Structure:
Cell lengths 8.360, 8.360, 8.360 Å; angles 110.84, 110.84, 106.77 degrees
Fractional positions:
Dy1 0.000 0.000 0.000
Dy2 0.313 0.635 0.101
Dy3 0.365 0.466 0.678
Dy4 0.534 0.212 0.899
Dy5 0.788 0.687 0.322
Ho1 0.023 0.418 0.254
Ho2 0.074 0.159 0.737
Ho3 0.164 0.769 0.746
Ho4 0.231 0.977 0.395
Ho5 0.422 0.336 0.263
Ho6 0.582 0.836 0.605
Ho7 0.664 0.926 0.086
Ho8 0.841 0.578 0.914
Tm1 0.750 0.250 0.500

---

Record 2
# LiSiBiO4
Simulated PXRD pattern, copper Kα. Input: a structure optimized by DFT (GGA-PBE).
Kinematic intensities with the Lorentz-polarization factor, no thermal factor.

Largest 12 diffraction maxima, in order of rising 2θ, 15° ≤ 2θ ≤ 90°:
2θ/deg, Rel. int.
19.63, 547
21.64, 471
25.80, 572
27.86, 176
32.60, 1000
33.50, 163
39.13, 249
39.83, 202
43.46, 249
50.93, 165
56.45, 152
59.32, 197

Structure:
Cell lengths 4.832, 12.810, 5.350 Å; angles 90.00, 90.00, 90.00 degrees
Fractional positions:
Li1 0.000 0.240 0.250
Li2 0.000 0.760 0.750
Li3 0.500 0.260 0.750
Li4 0.500 0.740 0.250
Si1 0.000 0.386 0.750
Si2 0.000 0.614 0.250
Si3 0.500 0.114 0.250
Si4 0.500 0.886 0.750
Bi1 0.000 0.097 0.750
Bi2 0.000 0.903 0.250
Bi3 0.500 0.403 0.250
Bi4 0.500 0.597 0.750
O1 0.164 0.313 0.544
O2 0.164 0.687 0.044
O3 0.245 0.455 0.895
O4 0.245 0.545 0.395
O5 0.255 0.045 0.395
O6 0.255 0.955 0.895
O7 0.336 0.187 0.044
O8 0.336 0.813 0.544
O9 0.664 0.187 0.456
O10 0.664 0.813 0.956
O11 0.745 0.045 0.105
O12 0.745 0.955 0.605
O13 0.755 0.455 0.605
O14 0.755 0.545 0.105
O15 0.836 0.313 0.956
O16 0.836 0.687 0.456

---

Record 3
# SrAc2Sn2Hg2
Simulated PXRD pattern, copper Kα. Input: a structure optimized by DFT (GGA-PBE).
Kinematic intensities with the Lorentz-polarization factor, no thermal factor.

Largest 12 diffraction maxima, in order of rising 2θ, 15° ≤ 2θ ≤ 90°:
2θ/deg, Rel. int.
17.63, 269
22.84, 183
28.53, 1000
30.79, 226
34.17, 998
38.70, 237
43.78, 229
45.08, 341
57.75, 422
61.17, 192
71.95, 137
79.14, 175

Structure:
Cell lengths 10.510, 10.510, 10.510 Å; angles 28.92, 28.92, 28.92 degrees
Fractional positions:
Sr1 0.000 0.000 0.000
Ac1 0.128 0.128 0.128
Ac2 0.872 0.872 0.872
Sn1 0.263 0.263 0.263
Sn2 0.737 0.737 0.737
Hg1 0.418 0.418 0.418
Hg2 0.582 0.582 0.582

---

Record 4
# CePrBN3
Simulated PXRD pattern, copper Kα. Input: a structure optimized by DFT (GGA-PBE).
Kinematic intensities with the Lorentz-polarization factor, no thermal factor.

Largest 12 diffraction maxima, in order of rising 2θ, 15° ≤ 2θ ≤ 90°:
2θ/deg, Rel. int.
18.49, 203
22.84, 540
32.31, 883
32.72, 1000
39.94, 286
46.65, 443
52.28, 148
57.63, 169
57.89, 356
65.37, 233
67.64, 134
77.18, 169

Structure:
Cell lengths 5.541, 5.541, 6.664 Å; angles 90.00, 90.00, 120.00 degrees
Fractional positions:
Ce1 0.000 0.000 0.000
Ce2 0.000 0.000 0.500
Pr1 0.333 0.667 0.250
Pr2 0.667 0.333 0.750
B1 0.333 0.667 0.750
B2 0.667 0.333 0.250
N1 0.181 0.361 0.750
N2 0.181 0.819 0.750
N3 0.361 0.181 0.250
N4 0.639 0.819 0.750
N5 0.819 0.181 0.250
N6 0.819 0.639 0.250

---

Record 5
# Cs8Rb3Li
Simulated PXRD pattern, copper Kα. Input: a structure optimized by DFT (GGA-PBE).
Kinematic intensities with the Lorentz-polarization factor, no thermal factor.

Largest 12 diffraction maxima, in order of rising 2θ, 15° ≤ 2θ ≤ 90°:
2θ/deg, Rel. int.
18.61, 280
20.44, 190
20.60, 192
21.38, 932
21.58, 1000
25.58, 110
30.56, 258
37.72, 215
37.84, 133
38.12, 178
40.46, 161
41.57, 177

Structure:
Cell lengths 16.472, 16.472, 10.229 Å; angles 90.00, 90.00, 120.00 degrees
Fractional positions:
Cs1 0.000 0.000 0.029
Cs2 0.000 0.000 0.529
Cs3 0.048 0.524 0.000
Cs4 0.185 0.370 0.292
Cs5 0.185 0.815 0.292
Cs6 0.333 0.667 0.627
Cs7 0.370 0.185 0.792
Cs8 0.476 0.524 0.000
Cs9 0.476 0.952 0.000
Cs10 0.524 0.048 0.500
Cs11 0.524 0.476 0.500
Cs12 0.630 0.815 0.292
Cs13 0.667 0.333 0.127
Cs14 0.815 0.185 0.792
Cs15 0.815 0.630 0.792
Cs16 0.952 0.476 0.500
Rb1 0.161 0.322 0.778
Rb2 0.161 0.839 0.778
Rb3 0.322 0.161 0.278
Rb4 0.678 0.839 0.778
Rb5 0.839 0.161 0.278
Rb6 0.839 0.678 0.278
Li1 0.333 0.667 0.170
Li2 0.667 0.333 0.670

---

Record 6
# Tb6Sm3Tm2
Simulated PXRD pattern, copper Kα. Input: a structure optimized by DFT (GGA-PBE).
Kinematic intensities with the Lorentz-polarization factor, no thermal factor.

Largest 12 diffraction maxima, in order of rising 2θ, 15° ≤ 2θ ≤ 90°:
2θ/deg, Rel. int.
30.73, 1000
35.64, 505
51.23, 182
51.34, 176
60.96, 321
61.07, 103
63.96, 95
75.47, 56
83.56, 91
83.69, 43
86.26, 83
86.44, 79

Structure:
Cell lengths 32.002, 32.002, 32.002 Å; angles 6.39, 6.39, 6.39 degrees
Fractional positions:
Tb1 0.092 0.092 0.092
Tb2 0.182 0.182 0.182
Tb3 0.364 0.364 0.364
Tb4 0.636 0.636 0.636
Tb5 0.818 0.818 0.818
Tb6 0.908 0.908 0.908
Sm1 0.000 0.000 0.000
Sm2 0.272 0.272 0.272
Sm3 0.728 0.728 0.728
Tm1 0.455 0.455 0.455
Tm2 0.545 0.545 0.545

---

Record 7
# Cd7Ga3Hg
Simulated PXRD pattern, copper Kα. Input: a structure optimized by DFT (GGA-PBE).
Kinematic intensities with the Lorentz-polarization factor, no thermal factor.

Largest 12 diffraction maxima, in order of rising 2θ, 15° ≤ 2θ ≤ 90°:
2θ/deg, Rel. int.
17.79, 194
26.52, 309
30.07, 216
31.56, 1000
31.79, 358
34.26, 730
38.48, 752
38.91, 711
47.27, 562
60.55, 183
61.47, 162
82.47, 157

Structure:
Cell lengths 7.365, 7.365, 5.670 Å; angles 112.03, 112.03, 90.59 degrees
Fractional positions:
Cd1 0.000 0.000 0.000
Cd2 0.095 0.553 0.327
Cd3 0.328 0.328 0.860
Cd4 0.447 0.905 0.673
Cd5 0.553 0.095 0.327
Cd6 0.672 0.672 0.140
Cd7 0.905 0.447 0.673
Ga1 0.266 0.734 0.000
Ga2 0.500 0.500 0.500
Ga3 0.734 0.266 0.000
Hg1 0.000 0.000 0.500

---

Record 8
# UFeRu
Simulated PXRD pattern, copper Kα. Input: a structure optimized by DFT (GGA-PBE).
Kinematic intensities with the Lorentz-polarization factor, no thermal factor.

Largest 12 diffraction maxima, in order of rising 2θ, 15° ≤ 2θ ≤ 90°:
2θ/deg, Rel. int.
27.28, 348
28.79, 516
33.62, 134
38.85, 128
39.05, 1000
40.34, 161
41.96, 532
45.06, 213
46.78, 137
57.41, 116
62.53, 116
72.75, 108

Structure:
Cell lengths 4.493, 4.611, 4.972 Å; angles 90.00, 111.19, 90.00 degrees
Fractional positions:
U1 0.174 0.250 0.208
U2 0.826 0.750 0.792
Fe1 0.161 0.750 0.571
Fe2 0.839 0.250 0.429
Ru1 0.419 0.250 0.834
Ru2 0.581 0.750 0.166

---

Record 9
# Y4Co
Simulated PXRD pattern, copper Kα. Input: a structure optimized by DFT (GGA-PBE).
Kinematic intensities with the Lorentz-polarization factor, no thermal factor.

Largest 12 diffraction maxima, in order of rising 2θ, 15° ≤ 2θ ≤ 90°:
2θ/deg, Rel. int.
15.63, 122
28.74, 293
31.22, 537
31.56, 1000
40.29, 143
40.56, 308
49.09, 260
49.78, 124
52.49, 115
52.71, 217
57.88, 167
59.94, 157

Structure:
Cell lengths 7.425, 7.213, 8.961 Å; angles 53.33, 51.18, 75.49 degrees
Fractional positions:
Y1 0.199 0.293 0.966
Y2 0.214 0.786 0.451
Y3 0.284 0.708 0.051
Y4 0.293 0.199 0.542
Y5 0.701 0.799 0.464
Y6 0.708 0.284 0.957
Y7 0.786 0.214 0.549
Y8 0.799 0.701 0.036
Co1 0.243 0.243 0.257
Co2 0.993 0.993 0.007

---

Record 10
# TaW3
Simulated PXRD pattern, copper Kα. Input: a structure optimized by DFT (GGA-PBE).
Kinematic intensities with the Lorentz-polarization factor, no thermal factor.

Largest 7 diffraction maxima, in order of rising 2θ, 15° ≤ 2θ ≤ 90°:
2θ/deg, Rel. int.
39.69, 1000
57.32, 115
57.51, 57
71.99, 236
72.12, 117
85.43, 38
85.58, 77

Structure:
Cell lengths 4.546, 4.546, 3.205 Å; angles 90.00, 90.00, 90.00 degrees
Fractional positions:
Ta1 0.000 0.000 0.000
W1 0.000 0.500 0.500
W2 0.500 0.000 0.500
W3 0.500 0.500 0.000

---

Record 11
# Pb3W4
Simulated PXRD pattern, copper Kα. Input: a structure optimized by DFT (GGA-PBE).
Kinematic intensities with the Lorentz-polarization factor, no thermal factor.

Largest 12 diffraction maxima, in order of rising 2θ, 15° ≤ 2θ ≤ 90°:
2θ/deg, Rel. int.
30.72, 435
35.62, 694
35.81, 697
36.36, 131
40.16, 1000
40.67, 853
57.98, 177
61.46, 515
63.98, 367
67.99, 222
78.30, 150
78.63, 257

Structure:
Cell lengths 5.820, 5.820, 4.941 Å; angles 90.00, 90.00, 120.00 degrees
Fractional positions:
Pb1 0.000 0.500 0.000
Pb2 0.500 0.000 0.000
Pb3 0.500 0.500 0.000
W1 0.000 0.000 0.251
W2 0.000 0.000 0.749
W3 0.333 0.667 0.500
W4 0.667 0.333 0.500

---

Record 12
# Ca6In2Sn
Simulated PXRD pattern, copper Kα. Input: a structure optimized by DFT (GGA-PBE).
Kinematic intensities with the Lorentz-polarization factor, no thermal factor.

Largest 12 diffraction maxima, in order of rising 2θ, 15° ≤ 2θ ≤ 90°:
2θ/deg, Rel. int.
20.34, 349
23.99, 249
30.45, 1000
30.72, 210
31.65, 943
33.19, 438
34.18, 187
36.32, 168
39.13, 147
46.42, 163
57.60, 153
58.33, 155

Structure:
Cell lengths 10.493, 10.493, 5.399 Å; angles 90.00, 90.00, 90.00 degrees
Fractional positions:
Ca1 0.040 0.304 0.000
Ca2 0.117 0.883 0.500
Ca3 0.196 0.540 0.500
Ca4 0.304 0.040 0.000
Ca5 0.383 0.383 0.000
Ca6 0.460 0.804 0.500
Ca7 0.540 0.196 0.500
Ca8 0.617 0.617 0.000
Ca9 0.696 0.960 0.000
Ca10 0.804 0.460 0.500
Ca11 0.883 0.117 0.500
Ca12 0.960 0.696 0.000
In1 0.225 0.225 0.500
In2 0.275 0.725 0.000
In3 0.725 0.275 0.000
In4 0.775 0.775 0.500
Sn1 0.000 0.000 0.000
Sn2 0.500 0.500 0.500